Entry 1:
Starting from the GGA-PBE geometry in the Materials Project, the powder XRD pattern of LiTcO3 was calculated for copper Kα.

Most intense lines, 2θ = 10–90°, low angle first:
- 23.1 deg, rel. 100, hkl 1 0 0
- 32.9 deg, rel. 49, hkl 1 1 0
- 47.2 deg, rel. 25, hkl 2 0 0
- 53.1 deg, rel. 37, hkl 2 1 0
- 58.7 deg, rel. 19, hkl 2 1 1
- 73.8 deg, rel. 16, hkl 3 0 0

Structural model:
Cell lengths 3.854, 3.854, 3.854 Å; angles 90.00, 90.00, 90.00 degrees
Space group Pm-3m (No. 221)
Symmetry-distinct sites (fractional):
Li  0.000  0.000  0.000 [1 per cell]
Tc  0.500  0.500  0.500 [1 per cell]
O  0.000  0.500  0.500 [3 per cell]

***

Entry 2:
Starting from the GGA-PBE geometry in the Materials Project, the powder XRD pattern of Li2TcO3 was calculated for copper Kα.

Most intense lines, 2θ = 10–90°, low angle first:
- 17.4 deg, rel. 100, hkl 0 0 2
- 21.3 deg, rel. 21, hkl 1 1 0
- 37.5 deg, rel. 40, hkl 2 0 0
- 38.9 deg, rel. 20, hkl 1 3 1
- 44.2 deg, rel. 69, hkl 2 0 2
- 47.9 deg, rel. 19, hkl 1 3 3

Structural model:
Cell lengths 4.854, 8.397, 10.306 Å; angles 90.00, 98.92, 90.00 degrees
Space group C2/c (No. 15)
Symmetry-distinct sites (fractional):
Li  0.000  0.084  0.250 [4 per cell]
Li  0.240  0.080  0.000 [8 per cell]
Li  0.250  0.250  0.500 [4 per cell]
Tc  0.000  0.250  0.750 [4 per cell]
Tc  0.000  0.417  0.250 [4 per cell]
O  0.122  0.079  0.629 [8 per cell]
O  0.123  0.247  0.128 [8 per cell]
O  0.133  0.417  0.628 [8 per cell]

***

Entry 3:
Starting from the GGA-PBE geometry in the Materials Project, the powder XRD pattern of Li6TeO6 was calculated for copper Kα.

Most intense lines, 2θ = 10–90°, low angle first:
- 18.8 deg, rel. 100, hkl 1 0 1
- 19.4 deg, rel. 20, hkl 0 0 3
- 21.9 deg, rel. 66, hkl 0 1 2
- 31.6 deg, rel. 19, hkl 1 0 4
- 36.6 deg, rel. 36, hkl 1 1 3
- 50.8 deg, rel. 21, hkl 1 1 6

Structural model:
Cell lengths 5.8195, 5.8195, 13.7140 Å; angles 90.00, 90.00, 120.00 degrees
Space group R-3 (No. 148, hexagonal axes)
Symmetry-distinct sites (fractional):
Li  0.0247  0.6135  0.3965 [18 per cell]
Te  0.0000  0.0000  0.5000 [3 per cell]
O  0.0206  0.7356  0.5826 [18 per cell]

***

Entry 4:
Starting from the GGA-PBE geometry in the Materials Project, the powder XRD pattern of Li6TeO6 was calculated for copper Kα.

Most intense lines, 2θ = 10–90°, low angle first:
- 17.9 deg, rel. 100, hkl 1 0 1
- 22.2 deg, rel. 33, hkl 1 1 0
- 28.4 deg, rel. 16, hkl 0 1 2
- 28.7 deg, rel. 32, hkl 0 2 1
- 43.0 deg, rel. 35, hkl 1 2 2
- 49.0 deg, rel. 14, hkl 1 3 1

Structural model:
Cell lengths 8.0213, 8.0213, 7.0502 Å; angles 90.00, 90.00, 120.00 degrees
Space group R-3 (No. 148, hexagonal axes)
Symmetry-distinct sites (fractional):
Li  0.0308  0.7628  0.1746 [18 per cell]
Te  0.0000  0.0000  0.5000 [3 per cell]
O  0.0629  0.8390  0.6599 [18 per cell]